1.
Diffraction record for SrEr2Se4. The X-ray powder pattern is theoretical, not measured: it uses DFT lattice parameters and positions (PBE) and a wavelength of 1.5418 Å.
Neutral-atom scattering factors, no anomalous dispersion.

Largest 6 diffraction maxima, low angle first, 2θ from 10° to 80°:
24.35°, rel. 81, (3 0 2); 25.64°, rel. 73, (1 1 2); 28.98°, rel. 73, (1 1 3); 35.42°, rel. 100, (2 1 4); 35.87°, rel. 61, (4 1 0); 43.81°, rel. 96, (0 2 0)

```
SrEr2Se4
1.0
12.5832 0.0000 0.0000
0.0000 4.1336 0.0000
0.0000 0.0000 14.9193
Sr Er Se
4 8 16
direct
0.2408 0.2500 0.1651
0.2592 0.7500 0.6651
0.7408 0.2500 0.3349
0.7592 0.7500 0.8349
0.0635 0.2500 0.3894
0.0823 0.2500 0.9018
0.4177 0.7500 0.4018
0.4365 0.7500 0.8894
0.5635 0.2500 0.1106
0.5823 0.2500 0.5982
0.9177 0.7500 0.0982
0.9365 0.7500 0.6106
0.0264 0.7500 0.7845
0.0889 0.2500 0.5775
0.1296 0.7500 0.0295
0.2055 0.7500 0.3281
0.2945 0.2500 0.8281
0.3704 0.2500 0.5295
0.4111 0.7500 0.0775
0.4736 0.2500 0.2845
0.5264 0.7500 0.7155
0.5889 0.2500 0.9225
0.6296 0.7500 0.4705
0.7055 0.7500 0.1719
0.7945 0.2500 0.6719
0.8704 0.2500 0.9705
0.9111 0.7500 0.4225
0.9736 0.2500 0.2155
```

2.
Diffraction record for YTiSi. The X-ray powder pattern is theoretical, not measured: it uses DFT lattice parameters and positions (PBE) and a wavelength of 1.5418 Å.
Neutral-atom scattering factors, no anomalous dispersion.

Largest 6 diffraction maxima, low angle first, 2θ from 10° to 80°:
24.98°, rel. 50, (1 0 1); 32.37°, rel. 95, (1 0 2); 33.54°, rel. 100, (1 1 1); 35.46°, rel. 39, (0 0 3); 39.49°, rel. 82, (1 1 2); 44.90°, rel. 65, (2 0 0)

```
YTiSi
1.0
4.0372 0.0000 0.0000
0.0000 4.0372 0.0000
0.0000 0.0000 7.5951
Y Ti Si
2 2 2
direct
0.2500 0.2500 0.1557
0.7500 0.7500 0.8443
0.2500 0.7500 0.5000
0.7500 0.2500 0.5000
0.2500 0.2500 0.7366
0.7500 0.7500 0.2634
```

3.
Diffraction record for TaB2. The X-ray powder pattern is theoretical, not measured: it uses DFT lattice parameters and positions (PBE) and a wavelength of 1.5418 Å.
Neutral-atom scattering factors, no anomalous dispersion.

Largest 6 diffraction maxima, low angle first, 2θ from 10° to 80°:
26.67°, rel. 45, (0 0 1); 33.41°, rel. 85, (1 0 0); 43.25°, rel. 100, (1 0 1); 59.72°, rel. 21, (1 1 0); 65.85°, rel. 25, (1 0 2); 66.56°, rel. 22, (1 1 1)

```
TaB2
1.0
3.0967 0.0000 0.0000
-1.5483 2.6818 0.0000
0.0000 0.0000 3.3426
Ta B
1 2
direct
0.0000 0.0000 0.0000
0.3333 0.6667 0.5000
0.6667 0.3333 0.5000
```

4.
Diffraction record for CoCu2SnSe4. The X-ray powder pattern is theoretical, not measured: it uses DFT lattice parameters and positions (PBE) and a wavelength of 1.5418 Å.
Neutral-atom scattering factors, no anomalous dispersion.

Largest 6 diffraction maxima, low angle first, 2θ from 10° to 80°:
27.05°, rel. 100, (1 1 2); 36.05°, rel. 4, (2 1 1); 44.90°, rel. 72, (2 2 0); 53.20°, rel. 43, (1 3 2); 65.37°, rel. 11, (4 0 0); 72.10°, rel. 16, (3 1 6)

```
CoCu2SnSe4
1.0
5.7091 0.0000 0.0000
0.0000 5.7091 0.0000
0.0000 0.0000 11.4243
Co Cu Sn Se
2 4 2 8
direct
0.0000 0.0000 0.0000
0.5000 0.5000 0.5000
0.0000 0.0000 0.5000
0.0000 0.5000 0.7500
0.5000 0.0000 0.2500
0.5000 0.5000 0.0000
0.0000 0.5000 0.2500
0.5000 0.0000 0.7500
0.2297 0.2650 0.8842
0.2350 0.7297 0.6158
0.2650 0.7703 0.1158
0.2703 0.2350 0.3842
0.7297 0.7650 0.3842
0.7350 0.2297 0.1158
0.7650 0.2703 0.6158
0.7703 0.7350 0.8842
```